For Gd2Y2I5N, DFT lattice parameters and positions (PBE) gives the theoretical powder XRD pattern in this record (Cu Kα, 1.54184 Å).

Peak list (6 most intense, 10 to 80 degrees two-theta, in order of rising 2θ)
| Position (°2θ) | I_rel |
| --- | --- |
| 28.76 | 50 |
| 30.83 | 100 |
| 33.12 | 33 |
| 42.56 | 28 |
| 42.77 | 28 |
| 46.11 | 19 |

Atomic structure:
```
Gd2Y2I5N
1.0
9.5409 -1.9687 0.0000
9.5409 1.9687 0.0000
-1.8698 0.0000 8.3707
Gd Y I N
2 2 5 1
Direct
0.0006 0.0006 0.3100
0.9994 0.9994 0.6900
0.3745 0.3745 0.4382
0.6255 0.6255 0.5618
0.1637 0.1637 0.8391
0.1672 0.1672 0.3225
0.5000 0.5000 0.0000
0.8328 0.8328 0.6775
0.8363 0.8363 0.1609
0.5000 0.5000 0.5000
```